# 1
PuPt: calculated powder diffraction line list (λ = 1.5418 Å (Cu Kα)), based on a crystal structure in the Materials Project, relaxed with GGA-PBE.

Structural model:
Unit cell a=3.821 b=10.519 c=4.309 alpha=90.00 beta=90.00 gamma=90.00
Space group Cmcm (No. 63)
Symmetry-distinct sites (fractional):
Pu  0.000  0.136  0.250
Pt  0.000  0.404  0.250

Principal peaks in the range 2θ from 5° to 70°, sorted by position:
32.45 deg, I = 100, (1 1 1); 34.09 deg, I = 37, (0 4 0); 40.72 deg, I = 66, (1 3 1); 41.93 deg, I = 28, (0 0 2); 47.60 deg, I = 20, (2 0 0); 55.11 deg, I = 19, (0 4 2)


# 2
SiO2: calculated powder diffraction line list (λ = 1.5418 Å (Cu Kα)), based on a crystal structure in the Materials Project, relaxed with GGA-PBE.

Structural model:
Unit cell a=7.171 b=7.171 c=17.940 alpha=90.00 beta=90.00 gamma=90.00
Space group I4_1/amd (No. 141, origin choice 2)
Symmetry-distinct sites (fractional):
Si  0.000  0.030  0.089
O  0.000  0.000  0.000
O  0.000  0.250  0.109
O  0.187  0.063  0.875

Principal peaks in the range 2θ from 5° to 70°, sorted by position:
13.30 deg, I = 100, (1 0 1); 19.80 deg, I = 27, (0 0 4); 20.12 deg, I = 10, (1 1 2); 26.78 deg, I = 17, (2 0 2); 27.80 deg, I = 12, (1 0 5); 28.27 deg, I = 27, (2 1 1)


# 3
GdErO3: calculated powder diffraction line list (λ = 1.5418 Å (Cu Kα)), based on a crystal structure in the Materials Project, relaxed with GGA-PBE.

Structural model:
Unit cell a=4.241 b=4.241 c=4.241 alpha=90.00 beta=90.00 gamma=90.00
Space group Pm-3m (No. 221)
Symmetry-distinct sites (fractional):
Gd  0.000  0.000  0.000
Er  0.500  0.500  0.500
O  0.000  0.500  0.500

Principal peaks in the range 2θ from 5° to 70°, sorted by position:
20.95 deg, I = 1, (1 0 0); 29.79 deg, I = 100, (1 1 0); 36.70 deg, I = 1, (1 1 1); 42.64 deg, I = 28, (2 0 0); 52.88 deg, I = 41, (2 1 1); 61.88 deg, I = 18, (2 2 0)


# 4
CsMg14V: calculated powder diffraction line list (λ = 1.5418 Å (Cu Kα)), based on a crystal structure in the Materials Project, relaxed with GGA-PBE.

Structural model:
Unit cell a=10.741 b=6.530 c=11.148 alpha=90.00 beta=90.00 gamma=90.00
Space group Amm2 (No. 38)
Symmetry-distinct sites (fractional):
Cs  0.000  0.000  0.000
Mg  0.000  0.248  0.248
Mg  0.240  0.000  0.659
Mg  0.264  0.238  0.411
Mg  0.273  0.000  0.168
Mg  0.500  0.000  0.497
Mg  0.500  0.000  0.995
Mg  0.500  0.246  0.745
V  0.000  0.000  0.487

Principal peaks in the range 2θ from 5° to 70°, sorted by position:
8.23 deg, I = 47, (1 0 0); 17.93 deg, I = 21, (1 0 2); 31.76 deg, I = 28, (0 2 2); 33.37 deg, I = 39, (4 0 0); 36.00 deg, I = 100, (2 2 2); 36.32 deg, I = 50, (2 0 4)


# 5
Ce2Tl3Sn3: calculated powder diffraction line list (λ = 1.5418 Å (Cu Kα)), based on a crystal structure in the Materials Project, relaxed with GGA-PBE.

Structural model:
Unit cell a=4.712 b=4.832 c=9.702 alpha=90.00 beta=90.00 gamma=90.00
Space group Pmmm (No. 47)
Symmetry-distinct sites (fractional):
Ce  0.000  0.000  0.239
Tl  0.000  0.500  0.000
Tl  0.000  0.500  0.500
Tl  0.500  0.000  0.500
Sn  0.500  0.000  0.000
Sn  0.500  0.500  0.247

Principal peaks in the range 2θ from 5° to 70°, sorted by position:
32.32 deg, I = 100, (1 1 2); 37.06 deg, I = 17, (0 0 4); 37.22 deg, I = 17, (0 2 0); 38.20 deg, I = 16, (2 0 0); 63.83 deg, I = 14, (1 1 6); 64.04 deg, I = 14, (1 3 2)


# 6
MgSi: calculated powder diffraction line list (λ = 1.5418 Å (Cu Kα)), based on a crystal structure in the Materials Project, relaxed with GGA-PBE.

Structural model:
Unit cell a=3.894 b=6.198 c=10.159 alpha=94.54 beta=96.50 gamma=107.19
Space group P1 (No. 1)
Symmetry-distinct sites (fractional):
Mg  0.000  0.000  0.000
Mg  0.002  0.726  0.472
Mg  0.276  0.570  0.990
Mg  0.284  0.414  0.277
Mg  0.554  0.245  0.798
Mg  0.563  0.985  0.274
Si  0.271  0.347  0.535
Si  0.284  0.614  0.729
Si  0.668  0.294  0.084
Si  0.683  0.087  0.545
Si  0.876  0.877  0.730
Si  0.894  0.691  0.185

Principal peaks in the range 2θ from 5° to 70°, sorted by position:
32.18 deg, I = 49, (1 1 -1); 32.41 deg, I = 76, (1 1 0); 33.86 deg, I = 100, (-1 2 1); 35.84 deg, I = 41, (0 0 4); 37.30 deg, I = 31, (0 1 -4); 42.54 deg, I = 28, (1 -2 3)


# 7
SbO2: calculated powder diffraction line list (λ = 1.5418 Å (Cu Kα)), based on a crystal structure in the Materials Project, relaxed with GGA-PBE.

Structural model:
Unit cell a=3.4127 b=3.4127 c=10.5092 alpha=90.00 beta=90.00 gamma=120.00
Space group P6_3/mmc (No. 194)
Symmetry-distinct sites (fractional):
Sb  0.0000  0.0000  0.0000
O  0.3333  0.6667  0.0888

Principal peaks in the range 2θ from 5° to 70°, sorted by position:
16.87 deg, I = 100, (0 0 2); 30.24 deg, I = 41, (1 0 0); 34.83 deg, I = 68, (1 0 2); 46.23 deg, I = 40, (1 0 4); 56.72 deg, I = 22, (1 1 2); 61.54 deg, I = 18, (1 0 6)


# 8
NaTiAlP2SO12: calculated powder diffraction line list (λ = 1.5418 Å (Cu Kα)), based on a crystal structure in the Materials Project, relaxed with GGA-PBE.

Structural model:
Unit cell a=14.671 b=8.475 c=8.847 alpha=90.00 beta=123.53 gamma=90.00
Space group Cc (No. 9)
Symmetry-distinct sites (fractional):
Na  0.000  0.245  0.000
Ti  0.357  0.251  0.058
Al  0.151  0.237  0.438
P  0.248  0.038  0.244
P  0.395  0.388  0.742
S  0.108  0.398  0.744
O  0.011  0.323  0.729
O  0.105  0.431  0.269
O  0.108  0.371  0.581
O  0.173  0.145  0.269
O  0.176  0.063  0.577
O  0.201  0.323  0.910
O  0.293  0.319  0.575
O  0.322  0.065  0.915
O  0.328  0.143  0.224
O  0.392  0.366  0.915
O  0.397  0.429  0.223
O  0.499  0.314  0.773

Principal peaks in the range 2θ from 5° to 70°, sorted by position:
14.49 deg, I = 14, (1 1 -1); 20.97 deg, I = 16, (0 2 0); 24.23 deg, I = 100, (0 2 1); 29.21 deg, I = 16, (4 0 0); 32.18 deg, I = 35, (3 1 1); 49.64 deg, I = 13, (6 2 0)


# 9
CsMg6Al: calculated powder diffraction line list (λ = 1.5418 Å (Cu Kα)), based on a crystal structure in the Materials Project, relaxed with GGA-PBE.

Structural model:
Unit cell a=5.165 b=7.293 c=11.882 alpha=90.00 beta=90.00 gamma=90.00
Space group Amm2 (No. 38)
Symmetry-distinct sites (fractional):
Cs  0.000  0.000  0.000
Mg  0.000  0.242  0.743
Mg  0.500  0.000  0.325
Mg  0.500  0.000  0.801
Mg  0.500  0.206  0.574
Al  0.000  0.000  0.521

Principal peaks in the range 2θ from 5° to 70°, sorted by position:
14.25 deg, I = 37, (0 1 1); 22.38 deg, I = 51, (1 1 1); 30.06 deg, I = 28, (0 0 4); 33.66 deg, I = 100, (1 2 2); 34.73 deg, I = 29, (2 0 0); 34.84 deg, I = 33, (1 0 4)


# 10
Ca2Al4Si8O33: calculated powder diffraction line list (λ = 1.5418 Å (Cu Kα)), based on a crystal structure in the Materials Project, relaxed with GGA-PBE.

Structural model:
Unit cell a=15.053 b=13.294 c=7.537 alpha=90.00 beta=109.82 gamma=90.00
Space group C2/m (No. 12)
Symmetry-distinct sites (fractional):
Ca  0.238  0.000  0.220
Al  0.129  0.196  0.229
Si  0.078  0.118  0.813
Si  0.235  0.118  0.643
O  0.000  0.421  0.500
O  0.000  0.500  0.000
O  0.014  0.188  0.226
O  0.050  0.000  0.758
O  0.061  0.500  0.461
O  0.118  0.453  0.882
O  0.142  0.159  0.689
O  0.144  0.123  0.039
O  0.172  0.318  0.247
O  0.211  0.120  0.413
O  0.245  0.500  0.286

Principal peaks in the range 2θ from 5° to 70°, sorted by position:
9.12 deg, I = 79, (1 1 0); 19.64 deg, I = 43, (2 2 -1); 21.01 deg, I = 100, (1 3 0); 23.99 deg, I = 68, (4 0 -1); 25.12 deg, I = 47, (0 0 2); 28.75 deg, I = 59, (1 1 2)